Entry 1:
Structure and simulated powder X-ray diffraction pattern of Ac12LaNd7 (a structure optimized by DFT (GGA-PBE); a wavelength of 1.5418 Å).

Structural model:
```
20
Lattice="10.466 6.043 2.233 -10.466 6.043 2.233 0.000 -12.086 2.233" Properties=species:S:1:pos:R:3 pbc="T T T"
Ac -4.315 -4.606 2.237
Ac -0.006 -4.204 1.243
Ac -3.638 2.107 1.243
Ac -6.147 1.434 4.463
Ac -1.831 6.040 2.237
Ac 3.644 2.097 1.243
Ac -3.644 -2.097 5.458
Ac 1.831 -6.040 4.463
Ac 6.147 -1.434 2.237
Ac 3.638 -2.107 5.458
Ac 0.006 4.204 5.458
Ac 4.315 4.606 4.463
La 0.000 0.000 3.350
Nd 0.000 0.000 0.000
Nd -2.551 -1.466 2.048
Nd 2.545 -1.476 2.048
Nd 0.006 2.942 2.048
Nd -0.006 -2.942 4.652
Nd -2.545 1.476 4.652
Nd 2.551 1.466 4.652
```

Largest 12 diffraction maxima, by angle, 10 to 90 degrees two-theta:
| Position (°2θ) | d_spacing | I_rel |
| --- | --- | --- |
| 25.20 | 3.534 | 34 |
| 25.53 | 3.489 | 42 |
| 27.07 | 3.294 | 24 |
| 27.98 | 3.189 | 100 |
| 28.40 | 3.142 | 59 |
| 30.53 | 2.928 | 56 |
| 30.80 | 2.903 | 45 |
| 36.52 | 2.461 | 33 |
| 37.22 | 2.416 | 25 |
| 43.21 | 2.094 | 34 |
| 44.20 | 2.049 | 36 |
| 54.60 | 1.681 | 23 |

Entry 2:
Structure and simulated powder X-ray diffraction pattern of Ac3La12Nd (a structure optimized by DFT (GGA-PBE); a wavelength of 1.5418 Å).

Structural model:
```
16
Lattice="5.331 0.000 0.000 0.000 5.331 0.000 0.000 0.000 21.318" Properties=species:S:1:pos:R:3 pbc="T T T"
Ac 0.000 0.000 0.000
Ac 0.000 0.000 5.368
Ac 0.000 0.000 15.951
La 0.000 2.666 2.678
La 0.000 2.666 8.072
La 0.000 2.666 13.247
La 0.000 2.666 18.640
La 2.666 0.000 2.678
La 2.666 0.000 8.072
La 2.666 0.000 13.247
La 2.666 0.000 18.640
La 2.666 2.666 0.000
La 2.666 2.666 5.399
La 2.666 2.666 10.659
La 2.666 2.666 15.919
Nd 0.000 0.000 10.659
```

Largest 12 diffraction maxima, by angle, 10 to 90 degrees two-theta:
| Position (°2θ) | d_spacing | I_rel |
| --- | --- | --- |
| 16.63 | 5.331 | 3 |
| 23.60 | 3.769 | 3 |
| 29.01 | 3.078 | 100 |
| 33.63 | 2.665 | 51 |
| 37.74 | 2.384 | 2 |
| 41.50 | 2.176 | 1 |
| 48.29 | 1.885 | 37 |
| 57.33 | 1.607 | 44 |
| 60.13 | 1.539 | 13 |
| 70.69 | 1.333 | 6 |
| 78.16 | 1.223 | 18 |
| 80.60 | 1.192 | 16 |

Entry 3:
Structure and simulated powder X-ray diffraction pattern of Ac4LaNd2 (a structure optimized by DFT (GGA-PBE); a wavelength of 1.5418 Å).

Structural model:
```
14
Lattice="3.590 -12.426 0.000 3.590 12.426 0.000 -3.133 0.000 6.446" Properties=species:S:1:pos:R:3 pbc="T T T"
Ac 1.239 8.090 4.835
Ac 0.227 0.761 3.221
Ac 2.806 6.236 1.612
Ac -1.339 -0.761 6.444
Ac 5.385 0.761 0.002
Ac 1.239 -6.236 4.835
Ac 3.818 -0.761 3.225
Ac 2.806 -8.090 1.612
La 2.806 2.661 1.612
La 1.239 -2.661 4.835
Nd 2.806 9.796 1.612
Nd 1.239 4.209 4.835
Nd 2.806 -4.209 1.612
Nd 1.239 -9.796 4.835
```

Largest 12 diffraction maxima, by angle, 10 to 90 degrees two-theta:
| Position (°2θ) | d_spacing | I_rel |
| --- | --- | --- |
| 28.59 | 3.122 | 75 |
| 29.13 | 3.066 | 100 |
| 29.38 | 3.040 | 51 |
| 29.56 | 3.022 | 38 |
| 31.24 | 2.863 | 24 |
| 42.16 | 2.143 | 29 |
| 47.80 | 1.903 | 14 |
| 50.69 | 1.801 | 13 |
| 51.62 | 1.771 | 15 |
| 51.95 | 1.760 | 21 |
| 52.51 | 1.743 | 15 |
| 56.96 | 1.617 | 31 |

Entry 4:
Structure and simulated powder X-ray diffraction pattern of Ac5La8Nd (a structure optimized by DFT (GGA-PBE); a wavelength of 1.5418 Å).

Structural model:
```
14
Lattice="6.627 0.000 0.000 2.201 9.873 0.000 3.313 4.443 8.464" Properties=species:S:1:pos:R:3 pbc="T T T"
Ac 0.000 0.000 0.000
Ac 2.209 3.935 4.839
Ac 4.412 4.841 0.005
Ac 5.535 8.323 1.244
Ac 9.901 10.327 3.674
La 4.439 10.787 7.282
La 3.350 7.380 6.039
La 6.590 5.897 7.240
La 6.613 8.804 4.875
La 7.709 12.288 6.047
La 5.524 5.367 3.662
La 8.815 6.845 2.452
La 7.719 3.441 1.217
Nd 4.405 1.936 2.449
```

Largest 12 diffraction maxima, by angle, 10 to 90 degrees two-theta:
| Position (°2θ) | d_spacing | I_rel |
| --- | --- | --- |
| 28.59 | 3.123 | 100 |
| 33.12 | 2.705 | 34 |
| 33.14 | 2.703 | 17 |
| 47.55 | 1.912 | 38 |
| 56.42 | 1.631 | 45 |
| 59.17 | 1.562 | 10 |
| 59.20 | 1.561 | 3 |
| 69.52 | 1.352 | 6 |
| 76.77 | 1.242 | 3 |
| 76.83 | 1.241 | 15 |
| 79.20 | 1.209 | 17 |
| 88.57 | 1.104 | 12 |

Entry 5:
Structure and simulated powder X-ray diffraction pattern of Ac3La8Nd (a structure optimized by DFT (GGA-PBE); a wavelength of 1.5418 Å).

Structural model:
```
12
Lattice="-5.771 6.147 3.312 5.771 -6.147 3.312 5.771 6.147 -3.312" Properties=species:S:1:pos:R:3 pbc="T T T"
Ac 0.000 0.000 0.000
Ac 5.771 3.052 0.964
Ac 0.000 3.095 4.275
La 1.967 3.107 1.023
La 3.803 -3.040 4.334
La 3.703 6.147 -0.168
La 2.067 0.000 3.143
La 1.967 9.187 1.023
La 3.803 3.040 4.334
La -1.999 6.147 3.144
La 1.999 6.147 3.144
Nd 5.771 0.000 3.303
```

Largest 12 diffraction maxima, by angle, 10 to 90 degrees two-theta:
| Position (°2θ) | d_spacing | I_rel |
| --- | --- | --- |
| 26.80 | 3.327 | 23 |
| 26.92 | 3.312 | 12 |
| 29.05 | 3.074 | 39 |
| 30.56 | 2.926 | 100 |
| 30.67 | 2.915 | 49 |
| 39.97 | 2.256 | 24 |
| 47.26 | 1.924 | 10 |
| 47.48 | 1.915 | 19 |
| 52.47 | 1.744 | 33 |
| 56.43 | 1.631 | 12 |
| 56.63 | 1.625 | 23 |
| 57.39 | 1.606 | 16 |

Entry 6:
Structure and simulated powder X-ray diffraction pattern of Ac3La2Nd (a structure optimized by DFT (GGA-PBE); a wavelength of 1.5418 Å).

Structural model:
```
12
Lattice="4.828 -5.431 0.000 4.828 5.431 0.000 -1.969 0.000 9.372" Properties=species:S:1:pos:R:3 pbc="T T T"
Ac 3.351 4.701 7.029
Ac 2.670 0.901 0.163
Ac 1.686 -0.901 4.849
Ac 6.001 0.901 4.523
Ac 5.017 -0.901 9.209
Ac 4.336 -4.701 2.343
La 2.801 2.750 3.573
La 5.870 2.750 1.113
La 1.817 -2.750 8.259
La 4.886 -2.750 5.799
Nd 3.351 1.217 7.029
Nd 4.336 -1.217 2.343
```

Largest 12 diffraction maxima, by angle, 10 to 90 degrees two-theta:
| Position (°2θ) | d_spacing | I_rel |
| --- | --- | --- |
| 23.84 | 3.733 | 21 |
| 28.72 | 3.108 | 100 |
| 29.03 | 3.076 | 40 |
| 29.17 | 3.061 | 38 |
| 29.43 | 3.035 | 85 |
| 41.10 | 2.196 | 15 |
| 41.69 | 2.166 | 13 |
| 42.00 | 2.151 | 14 |
| 48.80 | 1.866 | 15 |
| 51.82 | 1.764 | 15 |
| 57.48 | 1.603 | 12 |
| 57.72 | 1.597 | 16 |

Entry 7:
Structure and simulated powder X-ray diffraction pattern of AcLaNd2 (a structure optimized by DFT (GGA-PBE); a wavelength of 1.5418 Å).

Structural model:
```
4
Lattice="3.806 0.000 0.000 0.000 3.806 0.000 0.000 0.000 10.491" Properties=species:S:1:pos:R:3 pbc="T T T"
Ac 0.000 0.000 0.000
La 0.000 0.000 5.246
Nd 1.903 1.903 2.714
Nd 1.903 1.903 7.778
```

Largest 12 diffraction maxima, by angle, 10 to 90 degrees two-theta:
| Position (°2θ) | d_spacing | I_rel |
| --- | --- | --- |
| 28.98 | 3.081 | 100 |
| 33.29 | 2.692 | 35 |
| 34.19 | 2.623 | 16 |
| 47.79 | 1.903 | 13 |
| 48.46 | 1.878 | 24 |
| 56.87 | 1.619 | 31 |
| 58.05 | 1.589 | 14 |
| 60.06 | 1.540 | 13 |
| 77.38 | 1.233 | 6 |
| 78.40 | 1.220 | 12 |
| 79.65 | 1.204 | 6 |
| 89.61 | 1.094 | 9 |

Entry 8:
Structure and simulated powder X-ray diffraction pattern of Ac12La5Nd2 (a structure optimized by DFT (GGA-PBE); a wavelength of 1.5418 Å).

Structural model:
```
19
Lattice="9.906 -3.849 0.000 9.906 3.849 0.000 -3.191 0.000 10.582" Properties=species:S:1:pos:R:3 pbc="T T T"
Ac -0.521 0.000 1.865
Ac 3.600 1.921 10.176
Ac 4.813 1.861 6.440
Ac 13.021 1.921 0.405
Ac 11.809 1.861 4.142
Ac 8.376 0.000 2.813
Ac 8.245 0.000 7.769
Ac 4.813 -1.861 6.440
Ac 3.600 -1.921 10.176
Ac 11.809 -1.861 4.142
Ac 13.021 -1.921 0.405
Ac 17.143 0.000 8.717
La 1.091 0.000 7.611
La 4.995 0.000 2.991
La 9.906 0.000 0.000
La 11.627 0.000 7.591
La 15.530 0.000 2.971
Nd 8.311 2.285 5.291
Nd 8.311 -2.285 5.291
```

Largest 12 diffraction maxima, by angle, 10 to 90 degrees two-theta:
| Position (°2θ) | d_spacing | I_rel |
| --- | --- | --- |
| 24.96 | 3.567 | 30 |
| 26.79 | 3.327 | 53 |
| 27.24 | 3.274 | 75 |
| 28.23 | 3.161 | 81 |
| 28.68 | 3.113 | 99 |
| 29.48 | 3.030 | 100 |
| 29.90 | 2.989 | 43 |
| 31.45 | 2.845 | 23 |
| 35.67 | 2.517 | 25 |
| 36.92 | 2.434 | 25 |
| 47.22 | 1.925 | 26 |
| 47.92 | 1.899 | 32 |

Entry 9:
Structure and simulated powder X-ray diffraction pattern of AcLa2Nd7 (a structure optimized by DFT (GGA-PBE); a wavelength of 1.5418 Å).

Structural model:
```
10
Lattice="5.829 0.000 0.000 -0.048 8.800 0.000 -2.893 -4.054 7.339" Properties=species:S:1:pos:R:3 pbc="T T T"
Ac 0.000 0.000 0.000
La 0.005 0.531 3.535
La 2.882 4.215 3.804
Nd -0.027 4.293 1.853
Nd 0.018 -2.415 5.068
Nd -0.031 3.160 5.639
Nd 2.890 4.400 0.000
Nd 2.919 1.586 1.700
Nd 2.870 7.161 2.272
Nd 2.914 0.453 5.487
```

Largest 12 diffraction maxima, by angle, 10 to 90 degrees two-theta:
| Position (°2θ) | d_spacing | I_rel |
| --- | --- | --- |
| 20.21 | 4.395 | 17 |
| 26.27 | 3.393 | 13 |
| 26.40 | 3.376 | 13 |
| 30.14 | 2.966 | 100 |
| 30.68 | 2.914 | 58 |
| 30.86 | 2.897 | 36 |
| 30.96 | 2.888 | 24 |
| 31.88 | 2.807 | 16 |
| 31.99 | 2.798 | 16 |
| 32.54 | 2.752 | 17 |
| 34.18 | 2.623 | 14 |
| 59.51 | 1.553 | 15 |

Entry 10:
Structure and simulated powder X-ray diffraction pattern of Ac3La4Nd (a structure optimized by DFT (GGA-PBE); a wavelength of 1.5418 Å).

Structural model:
```
16
Lattice="12.358 0.000 0.000 0.000 7.782 0.000 0.000 0.000 6.655" Properties=species:S:1:pos:R:3 pbc="T T T"
Ac 0.000 1.015 0.000
Ac 3.064 1.050 2.364
Ac 3.115 6.732 5.691
Ac 6.179 6.766 3.327
Ac 9.243 6.732 5.691
Ac 9.294 1.050 2.364
La 0.000 3.063 3.490
La 0.000 4.799 0.171
La 3.053 4.823 2.285
La 3.126 2.959 5.612
La 6.179 2.983 3.498
La 6.179 4.719 0.162
La 9.232 2.959 5.612
La 9.305 4.823 2.285
Nd 0.000 6.758 3.369
Nd 6.179 1.024 0.041
```

Largest 12 diffraction maxima, by angle, 10 to 90 degrees two-theta:
| Position (°2θ) | d_spacing | I_rel |
| --- | --- | --- |
| 26.54 | 3.359 | 22 |
| 26.79 | 3.327 | 13 |
| 28.90 | 3.090 | 37 |
| 30.29 | 2.951 | 100 |
| 30.51 | 2.930 | 46 |
| 39.64 | 2.274 | 15 |
| 46.70 | 1.945 | 11 |
| 47.16 | 1.927 | 19 |
| 52.09 | 1.756 | 23 |
| 55.85 | 1.646 | 11 |
| 56.26 | 1.635 | 23 |
| 56.81 | 1.621 | 15 |

Entry 11:
Structure and simulated powder X-ray diffraction pattern of Ac12La7Nd (a structure optimized by DFT (GGA-PBE); a wavelength of 1.5418 Å).

Structural model:
```
20
Lattice="10.512 6.069 2.243 -10.512 6.069 2.243 0.000 -12.138 2.243" Properties=species:S:1:pos:R:3 pbc="T T T"
Ac -6.172 -1.435 2.244
Ac -3.668 2.110 1.263
Ac 0.007 -4.231 1.263
Ac 4.329 -4.627 2.244
Ac -1.843 -6.063 4.485
Ac 3.661 2.122 1.263
Ac -3.661 -2.122 5.466
Ac 1.843 6.063 2.244
Ac -4.329 4.627 4.485
Ac -0.007 4.231 5.466
Ac 3.668 -2.110 5.466
Ac 6.172 1.435 4.485
La 0.000 0.000 0.000
La -2.571 -1.495 2.019
La -0.010 2.974 2.019
La 2.580 -1.479 2.019
La -2.580 1.479 4.710
La 0.010 -2.974 4.710
La 2.571 1.495 4.710
Nd 0.000 0.000 3.364
```

Largest 12 diffraction maxima, by angle, 10 to 90 degrees two-theta:
| Position (°2θ) | d_spacing | I_rel |
| --- | --- | --- |
| 22.01 | 4.039 | 27 |
| 25.09 | 3.549 | 33 |
| 25.42 | 3.504 | 44 |
| 26.95 | 3.308 | 25 |
| 27.86 | 3.203 | 100 |
| 28.28 | 3.156 | 60 |
| 30.39 | 2.941 | 58 |
| 30.67 | 2.915 | 45 |
| 36.36 | 2.471 | 33 |
| 37.06 | 2.426 | 26 |
| 43.02 | 2.103 | 35 |
| 44.00 | 2.058 | 37 |

Entry 12:
Structure and simulated powder X-ray diffraction pattern of AcLa5Nd2 (a structure optimized by DFT (GGA-PBE); a wavelength of 1.5418 Å).

Structural model:
```
16
Lattice="-4.557 4.557 7.252 4.557 -4.557 7.252 4.557 4.557 -7.252" Properties=species:S:1:pos:R:3 pbc="T T T"
Ac 0.000 0.000 3.626
Ac 0.000 0.000 10.879
La 0.000 0.000 0.000
La 3.191 -1.366 2.355
La 5.923 -1.366 4.897
La 5.923 1.366 2.355
La 3.191 1.366 4.897
La 0.000 0.000 7.252
La 1.366 3.191 2.355
La -1.366 3.191 4.897
La -1.366 5.923 2.355
La 1.366 5.923 4.897
Nd 3.226 1.331 0.000
Nd 3.226 -1.331 7.252
Nd 1.331 5.888 0.000
Nd 1.331 3.226 7.252
```

Largest 12 diffraction maxima, by angle, 10 to 90 degrees two-theta:
| Position (°2θ) | d_spacing | I_rel |
| --- | --- | --- |
| 27.68 | 3.222 | 12 |
| 28.24 | 3.160 | 16 |
| 28.65 | 3.116 | 100 |
| 31.03 | 2.882 | 67 |
| 31.53 | 2.837 | 14 |
| 39.96 | 2.256 | 12 |
| 44.46 | 2.038 | 12 |
| 45.10 | 2.010 | 10 |
| 55.41 | 1.658 | 11 |
| 57.38 | 1.606 | 12 |
| 57.71 | 1.597 | 21 |
| 61.91 | 1.499 | 11 |